The following is a simulated powder XRD pattern of YSiRh2. It was derived from a crystal structure in Alexandria, relaxed with PBE, using Cu Ka.

The 10 most intense peaks (10 to 90 degrees two-theta), in order of rising 2θ:
2θ/deg, Rel. int.
18.75, 6.7
24.76, 34.3
37.95, 100.0
43.60, 54.2
50.79, 4.8
59.16, 27.8
64.52, 9.0
75.74, 12.5
76.30, 24.4
80.07, 8.8

Structure:
Cell: 4.1517 4.1517 9.4635 Å, 90.00 90.00 120.00°
Positions (direct):
Y: 0.3333 0.6667 0.2500
Y: 0.6667 0.3333 0.7500
Si: 0.0000 0.0000 0.0000
Si: 0.0000 0.0000 0.5000
Rh: 0.3333 0.6667 0.5737
Rh: 0.3333 0.6667 0.9263
Rh: 0.6667 0.3333 0.0737
Rh: 0.6667 0.3333 0.4263